Structure and calculated XRD peak list of La4TbPm8 (a structure optimized by DFT (PBE); Cu Kα).
Peak positions follow from Bragg's law for the DFT cell and can differ from measured ones.

Peak list (6 most intense, 10 to 90 degrees two-theta, sorted by position)
2θ = 29.15°, I 67
2θ = 29.73°, I 38
2θ = 31.15°, I 50
2θ = 31.21°, I 46
2θ = 31.92°, I 100
2θ = 33.21°, I 47

Cell and atoms:
```
data_La4TbPm8
_chemical_formula_sum 'La4 Tb1 Pm8'
_space_group_name_H-M_alt 'P 1'
_space_group_IT_number 1
_space_group_name_Hall 'P 1'
_cell_length_a 6.474
_cell_length_b 6.504
_cell_length_c 12.408
_cell_angle_alpha 90.50
_cell_angle_beta 97.80
_cell_angle_gamma 116.42
loop_
_atom_site_label
_atom_site_type_symbol
_atom_site_fract_x
_atom_site_fract_y
_atom_site_fract_z
_atom_site_occupancy
La1 La 0.000 0.000 0.000 1
La2 La 0.175 0.582 0.495 1
La3 La 0.622 0.374 0.991 1
La4 La 0.806 0.962 0.499 1
Tb1 Tb 0.557 0.329 0.533 1
Pm1 Pm 0.149 0.488 0.192 1
Pm2 Pm 0.186 0.008 0.300 1
Pm3 Pm 0.259 0.016 0.732 1
Pm4 Pm 0.359 0.745 0.961 1
Pm5 Pm 0.618 0.700 0.745 1
Pm6 Pm 0.659 0.023 0.210 1
Pm7 Pm 0.687 0.535 0.285 1
Pm8 Pm 0.940 0.345 0.760 1
```



Structure and calculated XRD peak list of LaSmC (a structure optimized by DFT (PBE); Cu Kα).
Peak positions follow from Bragg's law for the DFT cell and can differ from measured ones.

Peak list (6 most intense, 10 to 90 degrees two-theta, sorted by position)
2θ = 26.50°, I 59
2θ = 27.96°, I 47
2θ = 30.80°, I 100
2θ = 31.27°, I 69
2θ = 39.30°, I 43
2θ = 49.48°, I 48

Cell and atoms:
```
data_LaSmC
_chemical_formula_sum 'La2 Sm2 C2'
_space_group_name_H-M_alt 'P 1'
_space_group_IT_number 1
_space_group_name_Hall 'P 1'
_cell_length_a 7.568
_cell_length_b 7.568
_cell_length_c 6.393
_cell_angle_alpha 112.86
_cell_angle_beta 112.86
_cell_angle_gamma 28.15
loop_
_atom_site_label
_atom_site_type_symbol
_atom_site_fract_x
_atom_site_fract_y
_atom_site_fract_z
_atom_site_occupancy
La1 La 0.141 0.141 0.317 1
La2 La 0.859 0.859 0.683 1
Sm1 Sm 0.352 0.352 0.178 1
Sm2 Sm 0.648 0.648 0.822 1
C1 C 0.250 0.250 0.755 1
C2 C 0.750 0.750 0.245 1
```



Structure and calculated XRD peak list of CeSmCO (a structure optimized by DFT (PBE); Cu Kα).
Peak positions follow from Bragg's law for the DFT cell and can differ from measured ones.

Peak list (6 most intense, 10 to 90 degrees two-theta, sorted by position)
2θ = 30.35°, I 100
2θ = 34.95°, I 25
2θ = 35.31°, I 49
2θ = 50.53°, I 35
2θ = 60.32°, I 30
2θ = 63.14°, I 17

Cell and atoms:
```
data_CeSmCO
_chemical_formula_sum 'Ce1 Sm1 C1 O1'
_space_group_name_H-M_alt 'P 1'
_space_group_IT_number 1
_space_group_name_Hall 'P 1'
_cell_length_a 3.595
_cell_length_b 3.595
_cell_length_c 5.134
_cell_angle_alpha 90.00
_cell_angle_beta 90.00
_cell_angle_gamma 90.00
loop_
_atom_site_label
_atom_site_type_symbol
_atom_site_fract_x
_atom_site_fract_y
_atom_site_fract_z
_atom_site_occupancy
Ce1 Ce 0.000 0.000 0.000 1
Sm1 Sm 0.500 0.500 0.500 1
C1 C 0.500 0.500 0.000 1
O1 O 0.000 0.000 0.500 1
```



Structure and calculated XRD peak list of Ho5Ga2Au (a structure optimized by DFT (PBE); Cu Kα).
Peak positions follow from Bragg's law for the DFT cell and can differ from measured ones.

Peak list (6 most intense, 10 to 90 degrees two-theta, sorted by position)
2θ = 29.71°, I 35
2θ = 32.57°, I 100
2θ = 34.12°, I 22
2θ = 34.36°, I 64
2θ = 38.29°, I 59
2θ = 54.21°, I 24

Cell and atoms:
```
data_Ho5Ga2Au
_chemical_formula_sum 'Ho10 Ga4 Au2'
_space_group_name_H-M_alt 'P 1'
_space_group_IT_number 1
_space_group_name_Hall 'P 1'
_cell_length_a 9.021
_cell_length_b 9.021
_cell_length_c 9.021
_cell_angle_alpha 131.34
_cell_angle_beta 131.34
_cell_angle_gamma 71.28
loop_
_atom_site_label
_atom_site_type_symbol
_atom_site_fract_x
_atom_site_fract_y
_atom_site_fract_z
_atom_site_occupancy
Ho1 Ho 0.000 0.000 0.000 1
Ho2 Ho 0.023 0.523 0.842 1
Ho3 Ho 0.182 0.023 0.500 1
Ho4 Ho 0.318 0.818 0.842 1
Ho5 Ho 0.477 0.318 0.500 1
Ho6 Ho 0.500 0.500 0.000 1
Ho7 Ho 0.523 0.682 0.500 1
Ho8 Ho 0.682 0.182 0.158 1
Ho9 Ho 0.818 0.977 0.500 1
Ho10 Ho 0.977 0.477 0.158 1
Ga1 Ga 0.122 0.378 0.500 1
Ga2 Ga 0.378 0.878 0.257 1
Ga3 Ga 0.622 0.122 0.743 1
Ga4 Ga 0.878 0.622 0.500 1
Au1 Au 0.250 0.250 0.000 1
Au2 Au 0.750 0.750 0.000 1
```